# Mg3Fe3O8
Theoretical X-ray powder pattern, Cu Kα (λ = 1.5418 Å). Input: the GGA+U geometry in the Materials Project.
Peak positions follow from Bragg's law for the DFT cell and can differ from measured ones.

Main lines, sorted by position (10 to 90 degrees two-theta):
- d 4.912, I = 14
- d 2.995, I = 44
- d 2.559, I = 100
- d 2.121, I = 14
- d 1.633, I = 21
- d 1.631, I = 17
- d 1.502, I = 26
- d 1.497, I = 27

Cell and atoms:
```
Mg3Fe3O8
1.0
2.9947 1.7290 4.9146
-2.9947 1.7290 4.9146
0.0000 -3.4579 4.9146
Mg Fe O
3 3 8
direct
0.0000 0.5000 0.5000
0.5000 0.0000 0.5000
0.5000 0.5000 0.0000
0.1318 0.1318 0.1318
0.5000 0.5000 0.5000
0.8682 0.8682 0.8682
0.2578 0.2578 0.2578
0.2621 0.2621 0.7332
0.2621 0.7332 0.2621
0.2668 0.7379 0.7379
0.7332 0.2621 0.2621
0.7379 0.2668 0.7379
0.7379 0.7379 0.2668
0.7422 0.7422 0.7422
```